This entry pairs a crystal structure of HoTlCr2O8 with its theoretical X-ray powder pattern. Radiation: Cu Kα. Structure: a cell relaxed with GGA+U.

The 6 most intense peaks (2θ from 15° to 90°), in order of rising 2θ:
Position (°2θ)  I_rel  h k l
17.7  93  1 0 0
29.0  100  1 0 2
30.9  61  1 1 0
38.7  27  1 1 2
42.9  43  2 0 2
53.8  35  2 1 2

Lattice parameters (Å, degrees): 5.7879 5.7879 7.8109 90.00 90.00 120.00
Space group P-3m1 (No. 164)
One atom of each set of equivalent atoms:
Ho  0.0000  0.0000  0.0000 [1 per cell]
Tl  0.0000  0.0000  0.5000 [1 per cell]
Cr  0.3333  0.6667  0.7522 [2 per cell]
O  0.1749  0.3498  0.8222 [6 per cell]
O  0.3333  0.6667  0.5445 [2 per cell]